1.
# Hg2Pd2O5
Calculated X-ray diffraction stick pattern, Cu Kα (weighted mean of Kα1 and Kα2). Input: a PBE-relaxed structure.

Top 12 peaks for 2θ from 15° to 90°, sorted by position:
2θ/deg  d [Å]  I (rel.)  (hkl)
20.50  4.332  72  1 1 0
23.06  3.857  30  1 1 1
30.33  2.947  100  1 0 1
31.11  2.875  56  1 1 -1
31.39  2.850  79  0 1 2
33.11  2.706  93  -1 1 1
33.39  2.683  76  1 2 1
34.66  2.588  47  2 1 0
34.82  2.577  48  0 1 -1
36.25  2.478  35  1 1 2
36.89  2.436  51  1 0 -2
44.30  2.045  31  0 2 0

Crystal structure
Cell lengths 5.179, 5.377, 5.738 Å; angles 63.05, 89.09, 61.82 degrees
Space group P1 (No. 1)
Symmetry-distinct sites (fractional):
Hg (0.000, 0.000, 0.000) [1 per cell]
Hg (0.335, 0.577, 0.673) [1 per cell]
Pd (0.562, 0.148, 0.286) [1 per cell]
Pd (0.884, 0.506, 0.262) [1 per cell]
O (0.159, 0.310, 0.050) [1 per cell]
O (0.282, 0.294, 0.509) [1 per cell]
O (0.493, 0.612, 0.054) [1 per cell]
O (0.688, 0.681, 0.497) [1 per cell]
O (0.903, 0.074, 0.518) [1 per cell]

2.
# LuScAg2Sn2
Calculated X-ray diffraction stick pattern, Cu Kα (weighted mean of Kα1 and Kα2). Input: a PBE-relaxed structure.

Top 12 peaks for 2θ from 15° to 90°, sorted by position:
2θ/deg  d [Å]  I (rel.)  (hkl)
25.43  3.503  38  0 1 1
33.65  2.663  100  1 0 2
38.73  2.325  95  1 1 0
44.39  2.041  30  1 0 3
52.23  1.751  28  0 2 2
60.35  1.534  12  0 2 3
66.23  1.411  13  1 1 4
66.88  1.399  27  2 1 2
70.11  1.342  16  3 0 0
70.28  1.339  12  0 1 5
74.05  1.280  13  2 1 3
83.09  1.162  10  2 2 0

Crystal structure
Cell lengths 4.6498, 4.6498, 7.1016 Å; angles 90.00, 90.00, 120.00 degrees
Space group P3m1 (No. 156)
Symmetry-distinct sites (fractional):
Lu (0.0000, 0.0000, 0.0000) [1 per cell]
Sc (0.0000, 0.0000, 0.5003) [1 per cell]
Ag (0.3333, 0.6667, 0.6843) [1 per cell]
Ag (0.6667, 0.3333, 0.1889) [1 per cell]
Sn (0.3333, 0.6667, 0.2839) [1 per cell]
Sn (0.6667, 0.3333, 0.7743) [1 per cell]

3.
# ZnSi
Calculated X-ray diffraction stick pattern, Cu Kα (weighted mean of Kα1 and Kα2). Input: a PBE-relaxed structure.

Top 12 peaks for 2θ from 15° to 90°, sorted by position:
2θ/deg  d [Å]  I (rel.)  (hkl)
27.30  3.266  20  0 2 1
28.59  3.122  45  1 1 1
29.50  3.028  26  0 3 0
35.25  2.546  61  0 3 1
38.30  2.350  100  2 0 0
40.29  2.238  42  1 3 1
43.01  2.103  41  1 0 2
44.23  2.048  55  1 1 2
48.55  1.875  61  1 4 1
53.03  1.727  42  2 3 1
76.61  1.244  23  3 4 1
88.56  1.104  21  1 7 2

Crystal structure
Cell lengths 4.700, 9.083, 4.703 Å; angles 90.00, 90.00, 90.00 degrees
Space group Pmc2_1 (No. 26)
Symmetry-distinct sites (fractional):
Zn (0.000, 0.048, 0.000) [2 per cell]
Zn (0.500, 0.075, 0.710) [2 per cell]
Zn (0.500, 0.364, 0.732) [2 per cell]
Si (0.000, 0.316, 0.217) [2 per cell]
Si (0.000, 0.420, 0.714) [2 per cell]
Si (0.500, 0.211, 0.221) [2 per cell]

4.
# BeFeCuSi
Calculated X-ray diffraction stick pattern, Cu Kα (weighted mean of Kα1 and Kα2). Input: a PBE-relaxed structure.

Top 9 peaks for 2θ from 15° to 90°, sorted by position:
2θ/deg  d [Å]  I (rel.)  (hkl)
27.96  3.192  47  1 1 1
32.39  2.764  6  2 0 0
46.46  1.954  100  2 2 0
55.10  1.667  19  3 1 1
57.77  1.596  1  2 2 2
67.81  1.382  15  4 0 0
74.87  1.268  7  3 3 1
77.17  1.236  2  4 2 0
86.19  1.128  30  4 2 2

Crystal structure
Cell lengths 5.528, 5.528, 5.528 Å; angles 90.00, 90.00, 90.00 degrees
Space group F-43m (No. 216)
Symmetry-distinct sites (fractional):
Be (0.000, 0.000, 0.000) [4 per cell]
Fe (0.000, 0.000, 0.500) [4 per cell]
Cu (0.250, 0.250, 0.750) [4 per cell]
Si (0.250, 0.250, 0.250) [4 per cell]

5.
# TmNpIn
Calculated X-ray diffraction stick pattern, Cu Kα (weighted mean of Kα1 and Kα2). Input: a PBE-relaxed structure.

Top 12 peaks for 2θ from 15° to 90°, sorted by position:
2θ/deg  d [Å]  I (rel.)  (hkl)
21.11  4.208  16  1 1 1
24.43  3.644  36  2 0 0
34.82  2.577  100  2 2 0
41.07  2.198  8  3 1 1
42.99  2.104  11  2 2 2
50.06  1.822  18  4 0 0
56.46  1.630  16  4 2 0
62.42  1.488  37  4 2 2
73.50  1.288  12  4 4 0
78.78  1.215  8  6 0 0
83.97  1.152  17  6 2 0
89.11  1.099  5  6 2 2

Crystal structure
Cell lengths 7.289, 7.289, 7.289 Å; angles 90.00, 90.00, 90.00 degrees
Space group F-43m (No. 216)
Symmetry-distinct sites (fractional):
Tm (0.000, 0.000, 0.000) [4 per cell]
Np (0.000, 0.000, 0.500) [4 per cell]
In (0.250, 0.250, 0.750) [4 per cell]